1.
# Sm4Dy3Er3
Theoretical PXRD pattern, Cu Ka. Input: a GGA-PBE-relaxed structure.

Top 10 peaks for 2θ from 10° to 90°, by angle:
2θ (°)	I_rel
27.23	148
30.52	875
32.08	1000
34.90	78
38.89	126
47.06	130
48.25	117
56.16	199
58.16	198
58.99	184

Atomic structure:
abc: 3.7724 13.1144 13.1002
angles: 90.00 90.00 90.00
Space group Amm2 (No. 38)
Inequivalent atoms, fractional coordinates:
Sm: 0.0000 0.0000 0.0000 (multiplicity 2)
Sm: 0.0000 0.0000 0.2592 (multiplicity 2)
Sm: 0.0000 0.1300 0.6300 (multiplicity 4)
Dy: 0.0000 0.2492 0.8795 (multiplicity 4)
Dy: 0.5000 0.0000 0.4606 (multiplicity 2)
Er: 0.5000 0.0000 0.7988 (multiplicity 2)
Er: 0.5000 0.1691 0.1296 (multiplicity 4)

2.
# Dy4TeIr
Theoretical PXRD pattern, Cu Ka. Input: a GGA-PBE-relaxed structure.

Top 10 peaks for 2θ from 10° to 90°, by angle:
2θ (°)	I_rel
30.98	1000
31.31	292
31.71	371
32.13	563
33.16	394
34.04	356
34.30	885
37.81	337
39.12	365
45.48	425

Atomic structure:
abc: 8.1847 3.9890 19.4603
angles: 90.00 90.00 90.00
Space group Pnma (No. 62)
Inequivalent atoms, fractional coordinates:
Dy: 0.0043 0.2500 0.0683 (multiplicity 4)
Dy: 0.0384 0.7500 0.2160 (multiplicity 4)
Dy: 0.1393 0.7500 0.4515 (multiplicity 4)
Dy: 0.1429 0.7500 0.6469 (multiplicity 4)
Te: 0.2396 0.2500 0.3109 (multiplicity 4)
Ir: 0.2413 0.2500 0.5482 (multiplicity 4)

3.
# Tl2AgHgBr3
Theoretical PXRD pattern, Cu Ka. Input: a GGA-PBE-relaxed structure.

Top 10 peaks for 2θ from 10° to 90°, by angle:
2θ (°)	I_rel
22.79	677
23.07	539
25.39	782
31.40	1000
31.75	585
32.57	664
33.14	634
46.12	427
47.15	473
57.97	453

Atomic structure:
abc: 5.4058 5.4992 16.9093
angles: 90.00 90.00 90.00
Space group Immm (No. 71)
Inequivalent atoms, fractional coordinates:
Tl: 0.0000 0.0000 0.1489 (multiplicity 4)
Ag: 0.0000 0.0000 0.5000 (multiplicity 2)
Hg: 0.0000 0.5000 0.5000 (multiplicity 2)
Br: 0.0000 0.0000 0.3282 (multiplicity 4)
Br: 0.0000 0.5000 0.0000 (multiplicity 2)

4.
# Hf4Zn3Ni
Theoretical PXRD pattern, Cu Ka. Input: a GGA-PBE-relaxed structure.

Top 10 peaks for 2θ from 10° to 90°, by angle:
2θ (°)	I_rel
26.97	116
27.38	233
38.81	1000
39.10	499
48.15	106
55.60	82
56.50	170
70.06	162
70.65	337
83.28	102

Atomic structure:
abc: 3.2577 3.2577 13.2245
angles: 90.00 90.00 90.00
Space group P4/mmm (No. 123)
Inequivalent atoms, fractional coordinates:
Hf: 0.0000 0.0000 0.1165 (multiplicity 2)
Hf: 0.0000 0.0000 0.3722 (multiplicity 2)
Zn: 0.5000 0.5000 0.2456 (multiplicity 2)
Zn: 0.5000 0.5000 0.5000 (multiplicity 1)
Ni: 0.5000 0.5000 0.0000 (multiplicity 1)

5.
# Sm3DyIn4
Theoretical PXRD pattern, Cu Ka. Input: a GGA-PBE-relaxed structure.

Top 10 peaks for 2θ from 10° to 90°, by angle:
2θ (°)	I_rel
23.32	21
33.22	1000
47.59	59
47.73	120
59.35	368
69.69	74
69.80	38
79.31	50
79.52	106
88.87	40

Atomic structure:
abc: 3.8110 3.8110 15.2849
angles: 90.00 90.00 90.00
Space group P4/mmm (No. 123)
Inequivalent atoms, fractional coordinates:
Sm: 0.0000 0.0000 0.0000 (multiplicity 1)
Sm: 0.0000 0.0000 0.2534 (multiplicity 2)
Dy: 0.0000 0.0000 0.5000 (multiplicity 1)
In: 0.5000 0.5000 0.1268 (multiplicity 2)
In: 0.5000 0.5000 0.3807 (multiplicity 2)

6.
# Th2Co4As3Ir
Theoretical PXRD pattern, Cu Ka. Input: a GGA-PBE-relaxed structure.

Top 10 peaks for 2θ from 10° to 90°, by angle:
2θ (°)	I_rel
23.35	288
35.24	598
35.83	1000
43.70	503
52.12	204
57.34	297
63.51	164
66.09	146
70.31	167
75.12	234

Atomic structure:
abc: 4.1429 4.1429 9.6852
angles: 90.00 90.00 90.00
Space group P-4m2 (No. 115)
Inequivalent atoms, fractional coordinates:
Th: 0.0000 0.5000 0.2407 (multiplicity 2)
Co: 0.0000 0.0000 0.0000 (multiplicity 1)
Co: 0.0000 0.5000 0.6260 (multiplicity 2)
Co: 0.5000 0.5000 0.0000 (multiplicity 1)
As: 0.0000 0.5000 0.8713 (multiplicity 2)
As: 0.5000 0.5000 0.5000 (multiplicity 1)
Ir: 0.0000 0.0000 0.5000 (multiplicity 1)

Number 1 is which compound?
Sm4Dy3Er3